Starting from a structure optimized by DFT (GGA-PBE), the X-ray powder pattern of B5C7 was computed for Cu Ka.
Lines closer than 0.1° are merged.

Atomic structure:
Lattice parameters (Å, degrees): 3.8082 2.6730 8.5313 90.00 90.74 90.00
Space group Pm (No. 6)
Symmetry-distinct sites (fractional):
1 B 0.0000 0.0000 0.0000 x1
2 B 0.0281 0.5000 0.4256 x1
3 B 0.4623 0.5000 0.8759 x1
4 B 0.5303 0.0000 0.5119 x1
5 B 0.5776 0.0000 0.2414 x1
6 C 0.1447 0.5000 0.7103 x1
7 C 0.1882 0.5000 0.0441 x1
8 C 0.3501 0.5000 0.5576 x1
9 C 0.4341 0.5000 0.1734 x1
10 C 0.6904 0.0000 0.8669 x1
11 C 0.8429 0.0000 0.3849 x1
12 C 0.9700 0.0000 0.7512 x1

Most intense lines, 2θ = 15–90°, by angle:
| 2θ (°) | Rel. int. | h k l |
| --- | --- | --- |
| 31.3 | 50 | 1 0 -2 |
| 31.7 | 31 | 1 0 2 |
| 39.3 | 69 | 1 0 -3 |
| 39.8 | 100 | 1 0 3 |
| 41.3 | 86 | 1 1 0 |
| 69.3 | 21 | 2 1 3 |

Starting from a structure optimized by DFT (GGA-PBE), the X-ray powder pattern of B5C7 was computed for Cu Ka.
Lines closer than 0.1° are merged.

Atomic structure:
Lattice parameters (Å, degrees): 13.4674 2.4806 4.8157 90.00 103.38 90.00
Space group Cm (No. 8)
Symmetry-distinct sites (fractional):
1 B 0.0000 0.0000 0.0000 x2
2 B 0.0408 0.5000 0.2601 x2
3 B 0.1426 0.0000 0.8204 x2
4 B 0.2061 0.5000 0.0839 x2
5 B 0.3496 0.5000 0.8695 x2
6 C 0.0130 0.0000 0.6889 x2
7 C 0.1613 0.5000 0.3696 x2
8 C 0.1968 0.0000 0.5445 x2
9 C 0.3138 0.0000 0.6454 x2
10 C 0.3323 0.5000 0.1930 x2
11 C 0.3641 0.0000 0.3808 x2
12 C 0.4826 0.0000 0.5118 x2

Most intense lines, 2θ = 15–90°, by angle:
| 2θ (°) | Rel. int. | h k l |
| --- | --- | --- |
| 18.9 | 38 | 0 0 1 |
| 41.3 | 56 | 6 0 0 |
| 41.9 | 48 | 4 0 -2 |
| 42.5 | 100 | 1 1 1 |
| 69.5 | 24 | 7 1 1 |
| 70.3 | 29 | 3 1 -3 |

Starting from a structure optimized by DFT (GGA-PBE), the X-ray powder pattern of BC9 was computed for Cu Ka.
Lines closer than 0.1° are merged.

Atomic structure:
Lattice parameters (Å, degrees): 2.5180 2.5180 18.5859 90.00 90.00 90.00
Space group I-4m2 (No. 119)
Symmetry-distinct sites (fractional):
1 B 0.0000 0.0000 0.0000 x2
2 C 0.0000 0.0000 0.2017 x4
3 C 0.0000 0.0000 0.3957 x4
4 C 0.0000 0.5000 0.1539 x4
5 C 0.0000 0.5000 0.5577 x4
6 C 0.0000 0.5000 0.7500 x2

Most intense lines, 2θ = 15–90°, by angle:
| 2θ (°) | Rel. int. | h k l |
| --- | --- | --- |
| 19.1 | 2 | 0 0 4 |
| 43.4 | 100 | 1 0 5 |
| 49.9 | 1 | 1 0 7 |
| 73.7 | 25 | 1 1 10 |
| 75.5 | 13 | 2 0 0 |
| 87.8 | 7 | 1 0 15 |

Starting from a structure optimized by DFT (GGA-PBE), the X-ray powder pattern of B5C7 was computed for Cu Ka.
Lines closer than 0.1° are merged.

Atomic structure:
Lattice parameters (Å, degrees): 4.7976 2.5668 6.4245 90.00 99.55 90.00
Space group Pm (No. 6)
Symmetry-distinct sites (fractional):
1 B 0.0000 0.0000 0.0000 x1
2 B 0.0382 0.0000 0.7183 x1
3 B 0.2876 0.0000 0.2832 x1
4 B 0.3580 0.0000 0.0187 x1
5 B 0.6837 0.0000 0.3904 x1
6 C 0.1503 0.5000 0.3913 x1
7 C 0.2024 0.5000 0.6224 x1
8 C 0.5227 0.5000 0.7118 x1
9 C 0.5291 0.5000 0.9509 x1
10 C 0.6683 0.0000 0.6409 x1
11 C 0.8192 0.5000 0.0650 x1
12 C 0.8404 0.5000 0.2983 x1

Most intense lines, 2θ = 15–90°, by angle:
| 2θ (°) | Rel. int. | h k l |
| --- | --- | --- |
| 21.5 | 31 | 1 0 -1 |
| 41.4 | 100 | 1 1 -1 |
| 42.8 | 41 | 0 0 3 |
| 43.0 | 44 | 2 0 1 |
| 69.8 | 25 | 1 1 -4 |
| 70.0 | 24 | 3 1 0 |

Starting from a structure optimized by DFT (GGA-PBE), the X-ray powder pattern of B5C7 was computed for Cu Ka.
Lines closer than 0.1° are merged.

Atomic structure:
Lattice parameters (Å, degrees): 3.7768 4.6389 5.1746 70.79 88.46 67.86
Space group P1 (No. 1)
Symmetry-distinct sites (fractional):
1 B 0.0000 0.0000 0.0000 x1
2 B 0.0052 0.3632 0.9916 x1
3 B 0.3520 0.3187 0.7466 x1
4 B 0.6951 0.0384 0.2938 x1
5 B 0.9952 0.3504 0.4128 x1
6 C 0.3077 0.3654 0.2090 x1
7 C 0.3755 0.6871 0.6231 x1
8 C 0.3855 0.6807 0.1220 x1
9 C 0.6153 0.6871 0.3682 x1
10 C 0.6194 0.6849 0.8707 x1
11 C 0.7140 0.9913 0.7796 x1
12 C 0.9850 0.9956 0.5561 x1

Most intense lines, 2θ = 15–90°, by angle:
| 2θ (°) | Rel. int. | h k l |
| --- | --- | --- |
| 23.3 | 24 | 0 1 1 |
| 40.3 | 79 | 1 -1 0 |
| 41.8 | 100 | 1 1 2 |
| 42.1 | 81 | 1 2 0 |
| 43.0 | 86 | 1 0 -2 |
| 70.0 | 46 | 0 3 0 |

Starting from a structure optimized by DFT (GGA-PBE), the X-ray powder pattern of B5C7 was computed for Cu Ka.
Lines closer than 0.1° are merged.

Atomic structure:
Lattice parameters (Å, degrees): 2.5363 2.5363 13.9715 90.00 90.00 120.00
Space group P3m1 (No. 156)
Symmetry-distinct sites (fractional):
1 B 0.0000 0.0000 0.0000 x1
2 B 0.0000 0.0000 0.1216 x1
3 B 0.3333 0.6667 0.2842 x1
4 B 0.6667 0.3333 0.3607 x1
5 B 0.6667 0.3333 0.9201 x1
6 C 0.0000 0.0000 0.5113 x1
7 C 0.0000 0.0000 0.6220 x1
8 C 0.3333 0.6667 0.1748 x1
9 C 0.3333 0.6667 0.6590 x1
10 C 0.3333 0.6667 0.7696 x1
11 C 0.6667 0.3333 0.4738 x1
12 C 0.6667 0.3333 0.8072 x1

Most intense lines, 2θ = 15–90°, by angle:
| 2θ (°) | Rel. int. | h k l |
| --- | --- | --- |
| 19.1 | 7 | 0 0 3 |
| 38.7 | 20 | 0 0 6 |
| 43.2 | 100 | 0 1 2 |
| 68.7 | 15 | 0 1 8 |
| 74.9 | 34 | 1 1 0 |
| 81.7 | 9 | 1 0 10 |

Starting from a structure optimized by DFT (GGA-PBE), the X-ray powder pattern of B5C7 was computed for Cu Ka.
Lines closer than 0.1° are merged.

Atomic structure:
Lattice parameters (Å, degrees): 12.5456 2.5843 5.2252 90.00 90.07 90.00
Space group Cm (No. 8)
Symmetry-distinct sites (fractional):
1 B 0.0000 0.0000 0.0000 x2
2 B 0.0000 0.0000 0.4635 x2
3 B 0.1552 0.5000 0.7321 x2
4 B 0.3001 0.0000 0.4654 x2
5 B 0.3000 0.0000 0.9988 x2
6 C 0.0667 0.0000 0.7320 x2
7 C 0.0902 0.0000 0.2320 x2
8 C 0.1562 0.5000 0.2322 x2
9 C 0.2296 0.5000 0.4775 x2
10 C 0.2295 0.5000 0.9873 x2
11 C 0.4182 0.0000 0.0809 x2
12 C 0.4181 0.0000 0.3822 x2

Most intense lines, 2θ = 15–90°, by angle:
| 2θ (°) | Rel. int. | h k l |
| --- | --- | --- |
| 17.0 | 55 | 0 0 1 |
| 37.3 | 60 | 2 0 2 |
| 41.1 | 100 | 3 1 0 |
| 45.2 | 41 | 4 0 2 |
| 62.7 | 14 | 5 1 2 |
| 73.9 | 35 | 7 1 -2 |

Starting from a structure optimized by DFT (GGA-PBE), the X-ray powder pattern of BC9 was computed for Cu Ka.
Lines closer than 0.1° are merged.

Atomic structure:
Lattice parameters (Å, degrees): 8.4921 2.5280 6.2870 90.00 119.21 90.00
Space group Cm (No. 8)
Symmetry-distinct sites (fractional):
1 B 0.0000 0.0000 0.0000 x2
2 C 0.0022 0.0000 0.7472 x2
3 C 0.1084 0.5000 0.4115 x2
4 C 0.1159 0.5000 0.1747 x2
5 C 0.2029 0.0000 0.8068 x2
6 C 0.2075 0.0000 0.5612 x2
7 C 0.2972 0.5000 0.9546 x2
8 C 0.3060 0.5000 0.2083 x2
9 C 0.4053 0.0000 0.6027 x2
10 C 0.4075 0.0000 0.3560 x2

Most intense lines, 2θ = 15–90°, by angle:
| 2θ (°) | Rel. int. | h k l |
| --- | --- | --- |
| 43.2 | 98 | 4 0 -1 |
| 43.6 | 100 | 1 1 1 |
| 74.1 | 38 | 6 0 -4 |
| 74.1 | 25 | 5 1 0 |
| 75.2 | 12 | 0 2 0 |
| 89.6 | 7 | 3 1 3 |